[1]
Starting from a structure optimized by DFT (PBE+U), the XRD peak list of Li2TiNi2O5 was calculated for Cu Kα.

Structural model:
```
data_Li2TiNi2O5
_chemical_formula_sum 'Li8 Ti4 Ni8 O20'
_cell_length_a 5.083
_cell_length_b 14.717
_cell_length_c 5.112
_cell_angle_alpha 90.00
_cell_angle_beta 109.55
_cell_angle_gamma 90.00
_space_group_name_H-M_alt 'C 1 2 1'
_space_group_IT_number 5
_space_group_name_Hall 'C 2y'
loop_
_atom_site_label
_atom_site_type_symbol
_atom_site_fract_x
_atom_site_fract_y
_atom_site_fract_z
Li1 Li 0.000 0.000 0.000
Li2 Li 0.000 0.100 0.500
Li3 Li 0.000 0.296 0.500
Li4 Li 0.000 0.599 0.000
Ti1 Ti 0.000 0.192 0.000
Ti2 Ti 0.000 0.496 0.500
Ni1 Ni 0.000 0.401 0.000
Ni2 Ni 0.000 0.699 0.500
Ni3 Ni 0.000 0.800 0.000
Ni4 Ni 0.000 0.900 0.500
O1 O 0.232 0.498 0.269
O2 O 0.236 0.201 0.769
O3 O 0.243 0.406 0.741
O4 O 0.247 0.102 0.249
O5 O 0.248 0.296 0.240
```

Top 10 peaks for 10° ≤ 2θ ≤ 90°, by intensity:
index  Position (°2θ)  d [Å]  I (rel.)
1 5 1  43.49  2.081  100
0 2 0  12.03  7.359  27
0 0 2  37.39  2.405  26
2 0 2  63.21  1.471  19
1 1 -1  22.19  4.007  19
1 5 -3  63.03  1.475  18
3 5 -1  63.33  1.469  18
0 2 1  22.05  4.031  13
1 1 0  19.49  4.555  11
1 3 0  26.00  3.427  11


[2]
Starting from a structure optimized by DFT (PBE+U), the XRD peak list of Li2Co4O3F8 was calculated for Cu Kα.

Structural model:
```
data_Li2Co4O3F8
_chemical_formula_sum 'Li2 Co4 O3 F8'
_cell_length_a 5.054
_cell_length_b 6.539
_cell_length_c 6.841
_cell_angle_alpha 108.76
_cell_angle_beta 104.14
_cell_angle_gamma 96.74
_space_group_name_H-M_alt 'P -1'
_space_group_IT_number 2
_space_group_name_Hall '-P 1'
loop_
_atom_site_label
_atom_site_type_symbol
_atom_site_fract_x
_atom_site_fract_y
_atom_site_fract_z
Li1 Li 0.178 0.184 0.405
Co1 Co 0.154 0.623 0.228
Co2 Co 0.402 0.248 0.969
O1 O 0.238 0.536 0.956
O2 O 0.500 0.000 0.000
F1 F 0.007 0.890 0.193
F2 F 0.121 0.707 0.501
F3 F 0.305 0.350 0.249
F4 F 0.446 0.199 0.667
```

Top 10 peaks for 10° ≤ 2θ ≤ 90°, by intensity:
index  Position (°2θ)  d [Å]  I (rel.)
0 0 1  14.33  6.179  100
0 1 -1  16.36  5.419  81
1 1 -1  23.90  3.723  57
1 0 1  26.76  3.332  57
1 0 -3  42.24  2.139  56
2 1 0  43.52  2.079  51
1 -3 1  43.74  2.070  49
0 1 0  14.65  6.049  43
1 -2 0  31.43  2.846  36
1 0 -2  29.33  3.045  23


[3]
Starting from a structure optimized by DFT (PBE+U), the XRD peak list of LiCrSnO4 was calculated for Cu Kα.

Structural model:
```
data_LiCrSnO4
_chemical_formula_sum 'Li4 Cr4 Sn4 O16'
_cell_length_a 6.049
_cell_length_b 6.296
_cell_length_c 8.664
_cell_angle_alpha 90.00
_cell_angle_beta 90.00
_cell_angle_gamma 90.00
_space_group_name_H-M_alt 'I m m a'
_space_group_IT_number 74
_space_group_name_Hall '-I 2b 2'
loop_
_atom_site_label
_atom_site_type_symbol
_atom_site_fract_x
_atom_site_fract_y
_atom_site_fract_z
Li1 Li 0.000 0.250 0.126
Cr1 Cr 0.250 0.250 0.750
Sn1 Sn 0.000 0.000 0.500
O1 O 0.000 0.032 0.739
O2 O 0.233 0.250 0.513
```

Top 10 peaks for 10° ≤ 2θ ≤ 90°, by intensity:
index  Position (°2θ)  d [Å]  I (rel.)
1 0 1  17.88  4.960  100
1 2 1  33.72  2.658  42
2 2 0  41.40  2.181  42
0 1 1  17.41  5.093  28
1 0 3  34.43  2.605  27
2 2 4  60.22  1.537  27
0 0 4  41.70  2.166  20
1 0 5  55.13  1.666  19
0 2 2  35.24  2.546  16
1 2 3  45.17  2.007  15


[4]
Starting from a structure optimized by DFT (PBE+U), the XRD peak list of Ca2MnO4 was calculated for Cu Kα.

Structural model:
```
data_Ca2MnO4
_chemical_formula_sum 'Ca4 Mn2 O8'
_cell_length_a 3.751
_cell_length_b 3.751
_cell_length_c 11.902
_cell_angle_alpha 90.00
_cell_angle_beta 90.00
_cell_angle_gamma 90.00
_space_group_name_H-M_alt 'I 4/m m m'
_space_group_IT_number 139
_space_group_name_Hall '-I 4 2'
loop_
_atom_site_label
_atom_site_type_symbol
_atom_site_fract_x
_atom_site_fract_y
_atom_site_fract_z
Ca1 Ca 0.000 0.000 0.145
Mn1 Mn 0.000 0.000 0.500
O1 O 0.000 0.000 0.336
O2 O 0.000 0.500 0.000
```

Top 10 peaks for 10° ≤ 2θ ≤ 90°, by intensity:
index  Position (°2θ)  d [Å]  I (rel.)
1 0 3  32.86  2.725  100
1 1 0  33.80  2.652  91
2 0 0  48.55  1.875  62
0 0 2  14.89  5.951  52
0 0 6  45.77  1.982  45
2 1 3  59.87  1.545  34
2 0 6  68.90  1.363  27
1 0 5  45.11  2.010  26
1 1 6  58.07  1.588  22
2 2 0  71.09  1.326  16


[5]
Starting from a structure optimized by DFT (PBE+U), the XRD peak list of Li4V3OF11 was calculated for Cu Kα.

Structural model:
```
data_Li4V3OF11
_chemical_formula_sum 'Li8 V6 O2 F22'
_cell_length_a 5.303
_cell_length_b 5.511
_cell_length_c 16.175
_cell_angle_alpha 80.72
_cell_angle_beta 89.88
_cell_angle_gamma 89.27
_space_group_name_H-M_alt 'P 1'
_space_group_IT_number 1
_space_group_name_Hall 'P 1'
loop_
_atom_site_label
_atom_site_type_symbol
_atom_site_fract_x
_atom_site_fract_y
_atom_site_fract_z
Li1 Li 0.000 0.000 0.000
Li2 Li 0.054 0.548 0.109
Li3 Li 0.177 0.619 0.385
Li4 Li 0.328 0.428 0.717
Li5 Li 0.471 0.985 0.115
Li6 Li 0.530 0.459 0.993
Li7 Li 0.697 0.041 0.402
Li8 Li 0.809 0.884 0.738
V1 V 0.012 0.240 0.559
V2 V 0.020 0.923 0.217
V3 V 0.023 0.549 0.893
V4 V 0.492 0.078 0.891
V5 V 0.511 0.740 0.559
V6 V 0.517 0.414 0.228
O1 O 0.125 0.897 0.111
O2 O 0.207 0.253 0.922
F1 F 0.093 0.621 0.774
F2 F 0.104 0.305 0.443
F3 F 0.200 0.589 0.260
F4 F 0.209 0.928 0.578
F5 F 0.309 0.428 0.593
F6 F 0.321 0.744 0.931
F7 F 0.350 0.092 0.241
F8 F 0.399 0.425 0.109
F9 F 0.431 0.109 0.773
F10 F 0.433 0.785 0.440
F11 F 0.588 0.695 0.677
F12 F 0.607 0.357 0.341
F13 F 0.637 0.061 0.009
F14 F 0.683 0.735 0.193
F15 F 0.688 0.396 0.871
F16 F 0.715 0.052 0.525
F17 F 0.814 0.554 0.538
F18 F 0.816 0.882 0.867
F19 F 0.840 0.252 0.191
F20 F 0.880 0.552 0.007
F21 F 0.919 0.179 0.675
F22 F 0.928 0.876 0.340
```

Top 10 peaks for 10° ≤ 2θ ≤ 90°, by intensity:
index  Position (°2θ)  d [Å]  I (rel.)
0 0 3  16.66  5.321  100
1 1 2  24.67  3.609  41
1 1 -1  24.57  3.624  41
-1 1 2  24.95  3.569  40
1 -1 1  24.85  3.583  39
1 0 6  37.84  2.377  22
0 2 1  32.50  2.755  18
0 0 6  33.69  2.660  17
2 2 1  47.28  1.923  16
-2 2 1  47.92  1.898  13


[6]
Starting from a structure optimized by DFT (PBE+U), the XRD peak list of Li9Mn2Co5O16 was calculated for Cu Kα.

Structural model:
```
data_Li9Mn2Co5O16
_chemical_formula_sum 'Li9 Mn2 Co5 O16'
_cell_length_a 5.177
_cell_length_b 5.889
_cell_length_c 10.277
_cell_angle_alpha 104.20
_cell_angle_beta 95.30
_cell_angle_gamma 109.18
_space_group_name_H-M_alt 'P -1'
_space_group_IT_number 2
_space_group_name_Hall '-P 1'
loop_
_atom_site_label
_atom_site_type_symbol
_atom_site_fract_x
_atom_site_fract_y
_atom_site_fract_z
Li1 Li 0.000 0.000 0.000
Li2 Li 0.494 0.425 0.119
Li3 Li 0.498 0.316 0.374
Li4 Li 0.500 0.060 0.881
Li5 Li 0.500 0.190 0.624
Mn1 Mn 0.000 0.125 0.755
Co1 Co 0.000 0.500 0.000
Co2 Co 0.002 0.248 0.500
Co3 Co 0.006 0.372 0.247
O1 O 0.210 0.907 0.687
O2 O 0.215 0.662 0.190
O3 O 0.217 0.749 0.928
O4 O 0.223 0.509 0.431
O5 O 0.227 0.386 0.679
O6 O 0.230 0.007 0.433
O7 O 0.239 0.273 0.925
O8 O 0.241 0.142 0.193
```

Top 10 peaks for 10° ≤ 2θ ≤ 90°, by intensity:
index  Position (°2θ)  d [Å]  I (rel.)
1 0 0  18.48  4.802  100
-2 2 1  42.18  2.142  31
1 0 4  44.64  2.030  26
1 2 -3  44.78  2.024  25
0 2 -3  36.79  2.443  24
-1 2 1  35.08  2.558  17
-1 2 5  63.15  1.472  15
2 0 -4  47.78  1.904  9
0 2 -7  65.73  1.421  9
1 -4 2  63.27  1.470  8


[7]
Starting from a structure optimized by DFT (PBE+U), the XRD peak list of FeCoBO4 was calculated for Cu Kα.

Structural model:
```
data_FeCoBO4
_chemical_formula_sum 'Fe4 Co4 B4 O16'
_cell_length_a 9.391
_cell_length_b 3.147
_cell_length_c 9.514
_cell_angle_alpha 90.00
_cell_angle_beta 90.00
_cell_angle_gamma 90.00
_space_group_name_H-M_alt 'P n m a'
_space_group_IT_number 62
_space_group_name_Hall '-P 2ac 2n'
loop_
_atom_site_label
_atom_site_type_symbol
_atom_site_fract_x
_atom_site_fract_y
_atom_site_fract_z
Fe1 Fe 0.119 0.250 0.068
Co1 Co 0.102 0.250 0.687
B1 B 0.166 0.250 0.372
O1 O 0.007 0.250 0.885
O2 O 0.022 0.250 0.371
O3 O 0.241 0.250 0.501
O4 O 0.243 0.250 0.245
```

Top 10 peaks for 10° ≤ 2θ ≤ 90°, by intensity:
index  Position (°2θ)  d [Å]  I (rel.)
2 1 0  34.30  2.614  100
1 0 2  20.93  4.244  34
2 0 3  34.12  2.628  32
1 0 3  29.73  3.005  27
4 1 3  56.92  1.618  22
3 1 3  50.17  1.818  21
5 1 2  60.63  1.527  18
3 1 2  45.08  2.011  17
0 2 0  58.67  1.573  14
1 0 1  13.25  6.684  14


[8]
Starting from a structure optimized by DFT (PBE+U), the XRD peak list of CoPtO2 was calculated for Cu Kα.

Structural model:
```
data_CoPtO2
_chemical_formula_sum 'Co4 Pt4 O8'
_cell_length_a 2.912
_cell_length_b 2.921
_cell_length_c 24.615
_cell_angle_alpha 92.67
_cell_angle_beta 90.35
_cell_angle_gamma 119.74
_space_group_name_H-M_alt 'P 1'
_space_group_IT_number 1
_space_group_name_Hall 'P 1'
loop_
_atom_site_label
_atom_site_type_symbol
_atom_site_fract_x
_atom_site_fract_y
_atom_site_fract_z
Co1 Co 0.000 0.000 0.000
Co2 Co 0.245 0.492 0.750
Co3 Co 0.497 0.994 0.500
Co4 Co 0.752 0.500 0.250
Pt1 Pt 0.136 0.259 0.375
Pt2 Pt 0.377 0.751 0.125
Pt3 Pt 0.623 0.246 0.875
Pt4 Pt 0.860 0.733 0.625
O1 O 0.105 0.205 0.294
O2 O 0.160 0.305 0.456
O3 O 0.352 0.704 0.044
O4 O 0.401 0.798 0.206
O5 O 0.598 0.197 0.794
O6 O 0.648 0.296 0.956
O7 O 0.835 0.684 0.544
O8 O 0.892 0.788 0.706
```

Top 10 peaks for 10° ≤ 2θ ≤ 90°, by intensity:
index  Position (°2θ)  d [Å]  I (rel.)
0 0 4  14.42  6.144  100
0 0 8  29.07  3.072  88
-1 1 1  35.84  2.505  67
0 1 2  36.64  2.452  60
1 0 -3  36.87  2.438  59
1 -1 3  37.06  2.426  58
-1 1 5  40.59  2.223  34
1 0 5  40.69  2.217  33
0 1 -6  40.82  2.211  33
0 1 10  53.42  1.715  22


[9]
Starting from a structure optimized by DFT (PBE+U), the XRD peak list of Mn3Co3Te2O16 was calculated for Cu Kα.

Structural model:
```
data_Mn3Co3Te2O16
_chemical_formula_sum 'Mn6 Co6 Te4 O32'
_cell_length_a 9.871
_cell_length_b 5.740
_cell_length_c 9.353
_cell_angle_alpha 90.00
_cell_angle_beta 90.09
_cell_angle_gamma 90.00
_space_group_name_H-M_alt 'C 1 m 1'
_space_group_IT_number 8
_space_group_name_Hall 'C -2y'
loop_
_atom_site_label
_atom_site_type_symbol
_atom_site_fract_x
_atom_site_fract_y
_atom_site_fract_z
Mn1 Mn 0.000 0.000 0.000
Mn2 Mn 0.417 0.246 0.498
Co1 Co 0.161 0.500 0.502
Co2 Co 0.248 0.246 0.998
Te1 Te 0.005 0.500 0.216
Te2 Te 0.168 0.000 0.725
O1 O 0.075 0.271 0.385
O2 O 0.092 0.228 0.879
O3 O 0.165 0.000 0.103
O4 O 0.180 0.500 0.114
O5 O 0.252 0.259 0.616
O6 O 0.317 0.000 0.885
O7 O 0.332 0.500 0.403
O8 O 0.333 0.500 0.901
O9 O 0.348 0.000 0.381
O10 O 0.413 0.262 0.112
O11 O 0.496 0.000 0.605
O12 O 0.497 0.500 0.617
```

Top 10 peaks for 10° ≤ 2θ ≤ 90°, by intensity:
index  Position (°2θ)  d [Å]  I (rel.)
2 0 -1  20.27  4.380  100
1 1 -3  33.98  2.639  45
3 1 2  36.89  2.437  37
2 0 -2  26.21  3.400  37
2 2 -1  37.50  2.398  25
2 2 3  46.80  1.941  21
2 2 5  62.15  1.494  21
0 2 2  36.74  2.446  19
2 0 1  20.36  4.362  19
6 2 0  65.38  1.427  17